NbNi2Pd2: theoretical X-ray diffraction stick pattern (CuKα), based on DFT lattice parameters and positions (PBE).

Cell and atoms:
a b c (Å): 6.8991 6.8991 2.9925
angles (deg): 90.00 90.00 90.00
Space group P4/mbm (No. 127)
Unique sites:
Nb 0.0000 0.0000 0.0000 [2 per cell]
Ni 0.1336 0.3664 0.0000 [4 per cell]
Pd 0.1619 0.6619 0.5000 [4 per cell]

Top 6 peaks for 2θ from 10° to 90°, in order of falling intensity:
h k l, Position (°2θ), Rel. int.
2 1 1, 42.1, 100
3 1 0, 41.4, 60
2 0 1, 39.9, 27
3 1 2, 77.4, 25
5 2 1, 81.8, 17
0 0 2, 62.0, 13

Rb2GeIBr5: theoretical X-ray diffraction stick pattern (CuKα), based on DFT lattice parameters and positions (PBE).

Cell and atoms:
a b c (Å): 7.7877 7.7877 10.8591
angles (deg): 90.00 90.00 90.00
Space group I4mm (No. 107)
Unique sites:
Rb 0.0000 0.5000 0.0000 [4 per cell]
Ge 0.0000 0.0000 0.2464 [2 per cell]
I 0.0000 0.0000 0.5001 [2 per cell]
Br 0.0000 0.0000 0.0150 [2 per cell]
Br 0.2302 0.2302 0.2469 [8 per cell]

Top 6 peaks for 2θ from 10° to 90°, in order of falling intensity:
h k l, Position (°2θ), Rel. int.
2 0 2, 28.2, 100
2 2 0, 32.5, 52
2 2 4, 47.0, 35
0 0 4, 33.0, 26
4 2 2, 55.4, 25
1 0 1, 14.0, 23

LiCdPd2O4: theoretical X-ray diffraction stick pattern (CuKα), based on DFT lattice parameters and positions (PBE).

Cell and atoms:
a b c (Å): 4.5141 4.5141 8.8568
angles (deg): 90.00 90.00 90.00
Space group I4/mmm (No. 139)
Unique sites:
Li 0.0000 0.0000 0.0000 [2 per cell]
Cd 0.0000 0.0000 0.5000 [2 per cell]
Pd 0.0000 0.5000 0.2500 [4 per cell]
O 0.0000 0.0000 0.2354 [4 per cell]
O 0.0000 0.5000 0.0000 [4 per cell]

Top 6 peaks for 2θ from 10° to 90°, in order of falling intensity:
h k l, Position (°2θ), Rel. int.
1 1 2, 34.6, 100
2 0 0, 39.9, 74
1 0 1, 22.1, 49
2 0 4, 58.4, 44
0 0 4, 40.8, 34
3 1 2, 69.1, 29

KRbTl2Bi: theoretical X-ray diffraction stick pattern (CuKα), based on DFT lattice parameters and positions (PBE).

Cell and atoms:
a b c (Å): 4.9193 5.8911 14.5113
angles (deg): 90.00 90.00 90.00
Space group Imm2 (No. 44)
Unique sites:
K 0.0000 0.0000 0.0000 [2 per cell]
Rb 0.0000 0.5000 0.2618 [2 per cell]
Tl 0.0000 0.0000 0.5230 [2 per cell]
Tl 0.0000 0.5000 0.6679 [2 per cell]
Bi 0.0000 0.5000 0.8761 [2 per cell]

Top 6 peaks for 2θ from 10° to 90°, in order of falling intensity:
h k l, Position (°2θ), Rel. int.
1 1 2, 26.6, 100
1 1 4, 34.3, 70
0 1 1, 16.2, 66
0 2 0, 30.3, 52
1 0 1, 19.0, 47
0 1 5, 34.4, 42